Entry 1:
For K2Mo9S11, a DFT-relaxed cell (GGA-PBE, the Materials Project) gives the simulated powder diffractogram in this record (Cu Kα (weighted mean of Kα1 and Kα2)).

Structural model:
```
K2Mo9S11
1.0
4.7032 2.7154 12.0603
-4.7032 2.7154 12.0603
0.0000 -5.4308 12.0603
K Mo S
4 18 22
Cartesian
0.0000 0.0000 1.9383
0.0000 0.0000 16.1522
0.0000 0.0000 20.0287
0.0000 0.0000 34.2426
-1.5404 0.0819 6.7654
-0.7884 -1.3656 9.0452
-1.5404 -0.0819 11.3251
0.6992 -1.3750 6.7654
-0.7884 1.3656 9.0452
0.8411 -1.2930 11.3251
0.8411 1.2930 6.7654
1.5768 0.0000 9.0452
0.6992 1.3750 11.3251
-0.6992 -1.3750 24.8558
-1.5768 0.0000 27.1357
-0.8411 -1.2930 29.4155
-0.8411 1.2930 24.8558
0.7884 -1.3656 27.1357
-0.6992 1.3750 29.4155
1.5404 0.0819 24.8558
0.7884 1.3656 27.1357
1.5404 -0.0819 29.4155
-1.2676 -2.5515 11.1409
-1.8487 -2.7154 15.0754
-3.1274 -0.3418 17.1711
0.0000 0.0000 4.9273
-1.2676 -2.8793 19.0098
-3.2760 0.2433 21.1055
-1.5759 2.3736 11.1409
0.0000 0.0000 13.1631
-2.8435 -0.1780 25.0400
-1.4272 2.9588 15.0754
-1.8597 2.5374 19.0098
1.8597 -2.5374 17.1710
1.4272 -2.9587 21.1055
2.8435 0.1780 11.1409
0.0000 0.0000 23.0178
1.5759 -2.3736 25.0400
3.2760 -0.2433 15.0754
1.2676 2.8793 17.1710
0.0000 0.0000 31.2536
3.1274 0.3418 19.0098
1.8487 2.7154 21.1055
1.2676 2.5515 25.0400
```

Peak list (12 most intense, 10 to 80 degrees two-theta, in order of rising 2θ)
2θ = 11.9°, intensity 100; 2θ = 14.6°, intensity 10; 2θ = 22.5°, intensity 6; 2θ = 29.4°, intensity 10; 2θ = 33.9°, intensity 14; 2θ = 36.5°, intensity 7; 2θ = 41.4°, intensity 11; 2θ = 41.9°, intensity 7; 2θ = 43.7°, intensity 10; 2θ = 44.6°, intensity 31; 2θ = 52.0°, intensity 8; 2θ = 69.2°, intensity 6

=====

Entry 2:
For KMo6S8, a DFT-relaxed cell (GGA-PBE, the Materials Project) gives the simulated powder diffractogram in this record (Cu Kα (weighted mean of Kα1 and Kα2)).

Structural model:
```
KMo6S8
1.0
4.6597 2.6903 3.9105
-4.6597 2.6903 3.9105
0.0000 -5.3805 3.9105
K Mo S
1 6 8
Cartesian
0.0000 0.0000 0.0000
-0.8484 -1.3140 4.6862
-0.7137 1.3918 4.6862
-1.5621 0.0778 7.0454
1.5621 -0.0778 4.6862
0.7137 -1.3918 7.0454
0.8485 1.3140 7.0453
-2.8282 0.1580 4.9130
0.0000 0.0000 2.8746
-1.5509 -2.3703 6.8185
1.2773 -2.5283 4.9130
-1.2773 2.5283 6.8185
1.5509 2.3703 4.9130
0.0000 0.0000 8.8570
2.8282 -0.1580 6.8185
```

Peak list (12 most intense, 10 to 80 degrees two-theta, in order of rising 2θ)
2θ = 13.3°, intensity 100; 2θ = 30.3°, intensity 20; 2θ = 33.1°, intensity 26; 2θ = 40.0°, intensity 16; 2θ = 41.0°, intensity 17; 2θ = 42.8°, intensity 14; 2θ = 43.3°, intensity 13; 2θ = 45.3°, intensity 40; 2θ = 46.4°, intensity 8; 2θ = 51.8°, intensity 11; 2θ = 59.0°, intensity 8; 2θ = 69.9°, intensity 8

=====

Entry 3:
For K2Mo3Se18, a DFT-relaxed cell (GGA-PBE, the Materials Project) gives the simulated powder diffractogram in this record (Cu Kα (weighted mean of Kα1 and Kα2)).

Structural model:
```
K2Mo3Se18
1.0
10.6271 0.0000 0.0000
0.0000 12.8983 0.0000
-4.8817 0.0000 9.7049
K Mo Se
4 6 36
Cartesian
0.8665 0.0000 0.0278
-0.7289 6.8754 6.4421
6.4743 0.4262 3.2628
4.8788 6.4491 9.6772
-0.4920 12.2321 6.4249
1.8754 12.3287 4.9701
3.7775 5.6306 1.9442
1.9678 12.0798 7.7607
3.8700 5.8796 4.7349
6.2373 5.7829 3.2801
-2.9241 0.4589 6.5057
-3.5628 9.8437 8.0902
-2.4142 10.4101 6.0572
-2.7508 2.8629 6.8204
-3.5916 3.3347 9.0348
-0.4954 12.0964 3.7965
-2.3861 6.3988 9.4260
0.1223 1.2887 4.8367
-2.0376 8.7992 9.5661
1.5970 5.4877 3.4728
3.0000 3.2832 1.0199
0.7953 3.5434 6.6387
-0.3349 11.6807 8.9881
2.7364 10.9489 2.8992
1.1130 10.2820 6.1901
2.6826 7.5644 3.2405
0.1854 0.9921 8.2585
2.9968 0.3941 2.7239
2.7486 6.8432 6.9811
5.5600 7.4412 1.4464
3.0627 1.1152 6.4644
4.6324 3.8329 3.5149
3.0090 4.4997 6.8057
6.0802 5.2315 0.7168
4.9500 9.9926 3.0663
2.7454 9.7323 8.6850
4.1483 11.9369 6.2321
7.7830 2.3500 0.1388
5.6230 7.7379 4.8682
8.1314 12.8479 0.2790
6.2407 5.6472 5.9085
9.3369 9.7839 0.6701
8.4961 9.3121 2.8845
8.1596 3.9609 3.6477
9.3081 3.3945 1.6148
8.6695 6.9080 3.1992
```

Peak list (12 most intense, 10 to 80 degrees two-theta, in order of rising 2θ)
2θ = 11.4°, intensity 98; 2θ = 11.6°, intensity 45; 2θ = 11.9°, intensity 100; 2θ = 13.7°, intensity 39; 2θ = 16.5°, intensity 30; 2θ = 16.6°, intensity 71; 2θ = 25.7°, intensity 33; 2θ = 26.3°, intensity 41; 2θ = 27.6°, intensity 43; 2θ = 29.0°, intensity 46; 2θ = 33.8°, intensity 42; 2θ = 36.2°, intensity 30

=====

Entry 4:
For KMo3Se3, a DFT-relaxed cell (GGA-PBE, the Materials Project) gives the simulated powder diffractogram in this record (Cu Kα (weighted mean of Kα1 and Kα2)).

Structural model:
```
KMo3Se3
1.0
9.2105 0.0000 0.0000
-4.6052 7.9765 0.0000
0.0000 0.0000 4.5301
K Mo Se
2 6 6
Cartesian
0.0000 5.3177 1.1325
4.6052 2.6588 3.3976
-3.6434 6.7719 1.1325
0.5623 1.4353 1.1325
1.5241 0.2307 3.3976
3.0811 7.7459 1.1325
4.0429 6.5413 3.3976
8.2487 1.2046 3.3976
-2.6910 5.5905 3.3976
1.1092 2.8508 3.3976
3.0235 0.4648 1.1325
1.5818 7.5117 3.3976
3.4960 5.1257 1.1325
7.2962 2.3860 1.1325
```

Peak list (12 most intense, 10 to 80 degrees two-theta, in order of rising 2θ)
2θ = 11.1°, intensity 100; 2θ = 27.6°, intensity 9; 2θ = 29.6°, intensity 13; 2θ = 35.8°, intensity 26; 2θ = 39.8°, intensity 16; 2θ = 40.8°, intensity 8; 2θ = 41.4°, intensity 8; 2θ = 44.1°, intensity 28; 2θ = 45.6°, intensity 23; 2θ = 54.0°, intensity 9; 2θ = 65.1°, intensity 6; 2θ = 79.1°, intensity 7